Record 1
Simulated X-ray powder pattern
Compound: Rb3Er3HfSe8
Radiation: a wavelength of 1.5418 Å
Structure: a structure optimized by DFT (GGA-PBE)
No peak broadening, texture or thermal motion is included.

Largest 10 diffraction maxima, most intense first, 10° ≤ 2θ ≤ 90°:
- 29.08 deg, 3.071 Å, I 100
- 10.84 deg, 8.161 Å, I 62
- 44.19 deg, 2.050 Å, I 35
- 38.85 deg, 2.318 Å, I 33
- 36.05 deg, 2.491 Å, I 21
- 53.77 deg, 1.705 Å, I 17
- 72.06 deg, 1.311 Å, I 14
- 48.26 deg, 1.886 Å, I 12
- 45.64 deg, 1.988 Å, I 11
- 60.28 deg, 1.535 Å, I 9

Structure:
Cell lengths 9.4345, 9.4345, 9.4345 Å; angles 51.50, 51.50, 51.50 degrees
Fractional coordinates of all 15 atoms:
Rb 0.0000 0.5000 0.5000
Rb 0.5000 0.0000 0.5000
Rb 0.5000 0.5000 0.0000
Er 0.0000 0.0000 0.5000
Er 0.0000 0.5000 0.0000
Er 0.5000 0.0000 0.0000
Hf 0.5000 0.5000 0.5000
Se 0.2313 0.2313 0.2313
Se 0.2441 0.7216 0.7216
Se 0.2784 0.2784 0.7559
Se 0.2784 0.7559 0.2784
Se 0.7216 0.2441 0.7216
Se 0.7216 0.7216 0.2441
Se 0.7559 0.2784 0.2784
Se 0.7687 0.7687 0.7687

---

Record 2
Simulated X-ray powder pattern
Compound: Er5HfRh6
Radiation: a wavelength of 1.5418 Å
Structure: a structure optimized by DFT (GGA-PBE)
No peak broadening, texture or thermal motion is included.

Largest 10 diffraction maxima, most intense first, 10° ≤ 2θ ≤ 90°:
- 37.47 deg, 2.400 Å, I 100
- 38.28 deg, 2.351 Å, I 24
- 38.11 deg, 2.361 Å, I 24
- 68.67 deg, 1.367 Å, I 17
- 68.45 deg, 1.371 Å, I 17
- 55.13 deg, 1.666 Å, I 16
- 79.93 deg, 1.200 Å, I 11
- 52.91 deg, 1.731 Å, I 9
- 67.16 deg, 1.394 Å, I 9
- 67.05 deg, 1.396 Å, I 9

Structure:
Cell lengths 7.4633, 7.4633, 6.9223 Å; angles 90.00, 90.00, 143.27 degrees
Fractional coordinates of all 12 atoms:
Er 0.0000 0.0000 0.0000
Er 0.3330 0.6670 0.5000
Er 0.3336 0.6664 0.0000
Er 0.6664 0.3336 0.0000
Er 0.6670 0.3330 0.5000
Hf 0.0000 0.0000 0.5000
Rh 0.1609 0.8391 0.2562
Rh 0.1609 0.8391 0.7438
Rh 0.5000 0.5000 0.2655
Rh 0.5000 0.5000 0.7345
Rh 0.8391 0.1609 0.2562
Rh 0.8391 0.1609 0.7438

---

Record 3
Simulated X-ray powder pattern
Compound: ErHfSc6
Radiation: a wavelength of 1.5418 Å
Structure: a structure optimized by DFT (GGA-PBE)
No peak broadening, texture or thermal motion is included.

Largest 10 diffraction maxima, most intense first, 10° ≤ 2θ ≤ 90°:
- 35.68 deg, 2.516 Å, I 100
- 23.12 deg, 3.847 Å, I 50
- 31.04 deg, 2.881 Å, I 24
- 34.73 deg, 2.583 Å, I 24
- 26.80 deg, 3.327 Å, I 24
- 55.21 deg, 1.664 Å, I 21
- 15.38 deg, 5.762 Å, I 21
- 47.28 deg, 1.923 Å, I 20
- 66.90 deg, 1.399 Å, I 20
- 45.18 deg, 2.007 Å, I 18

Structure:
Cell lengths 5.1663, 6.6542, 11.5231 Å; angles 90.00, 90.00, 90.00 degrees
Fractional coordinates of all 16 atoms:
Er 0.0000 0.0000 0.0000
Er 0.0000 0.5000 0.5000
Hf 0.5000 0.0000 0.3328
Hf 0.5000 0.5000 0.8328
Sc 0.0000 0.0000 0.4964
Sc 0.0000 0.2448 0.2517
Sc 0.0000 0.2552 0.7517
Sc 0.0000 0.5000 0.9964
Sc 0.0000 0.7448 0.7517
Sc 0.0000 0.7552 0.2517
Sc 0.5000 0.0000 0.8304
Sc 0.5000 0.2461 0.5841
Sc 0.5000 0.2539 0.0841
Sc 0.5000 0.5000 0.3303
Sc 0.5000 0.7461 0.0841
Sc 0.5000 0.7539 0.5841

---

Record 4
Simulated X-ray powder pattern
Compound: Er2Hf4Sc5
Radiation: a wavelength of 1.5418 Å
Structure: a structure optimized by DFT (GGA-PBE)
No peak broadening, texture or thermal motion is included.

Largest 10 diffraction maxima, most intense first, 10° ≤ 2θ ≤ 90°:
- 35.03 deg, 2.561 Å, I 100
- 18.54 deg, 4.785 Å, I 100
- 33.78 deg, 2.654 Å, I 74
- 33.89 deg, 2.645 Å, I 70
- 29.46 deg, 3.032 Å, I 61
- 41.52 deg, 2.175 Å, I 51
- 31.70 deg, 2.823 Å, I 46
- 45.42 deg, 1.997 Å, I 33
- 33.36 deg, 2.686 Å, I 27
- 43.85 deg, 2.065 Å, I 27

Structure:
Cell lengths 6.5442, 6.5442, 9.3681 Å; angles 120.05, 120.05, 55.21 degrees
Fractional coordinates of all 11 atoms:
Er 0.1765 0.1765 0.2372
Er 0.8235 0.8235 0.7628
Hf 0.2360 0.2360 0.9600
Hf 0.2380 0.2380 0.6260
Hf 0.7620 0.7620 0.3740
Hf 0.7640 0.7640 0.0400
Sc 0.2482 0.7289 0.3274
Sc 0.2711 0.7518 0.6726
Sc 0.5000 0.5000 0.0000
Sc 0.7289 0.2482 0.3274
Sc 0.7518 0.2711 0.6726

---

Record 5
Simulated X-ray powder pattern
Compound: ErHfSc6
Radiation: a wavelength of 1.5418 Å
Structure: a structure optimized by DFT (GGA-PBE)
No peak broadening, texture or thermal motion is included.

Largest 10 diffraction maxima, most intense first, 10° ≤ 2θ ≤ 90°:
- 33.59 deg, 2.668 Å, I 100
- 38.53 deg, 2.337 Å, I 34
- 18.99 deg, 4.674 Å, I 34
- 27.45 deg, 3.250 Å, I 28
- 66.57 deg, 1.405 Å, I 25
- 56.65 deg, 1.625 Å, I 21
- 19.63 deg, 4.522 Å, I 16
- 39.87 deg, 2.261 Å, I 15
- 26.98 deg, 3.305 Å, I 15
- 47.95 deg, 1.897 Å, I 13

Structure:
Cell lengths 9.3421, 9.3524, 4.5218 Å; angles 90.00, 90.00, 90.00 degrees
Fractional coordinates of all 16 atoms:
Er 0.0000 0.0000 0.0000
Er 0.5000 0.5000 0.0000
Hf 0.0000 0.5000 0.0000
Hf 0.5000 0.0000 0.0000
Sc 0.0000 0.2616 0.5000
Sc 0.0000 0.7384 0.5000
Sc 0.2382 0.5000 0.5000
Sc 0.2500 0.2500 0.0000
Sc 0.2500 0.7500 0.0000
Sc 0.2618 0.0000 0.5000
Sc 0.5000 0.2384 0.5000
Sc 0.5000 0.7616 0.5000
Sc 0.7382 0.0000 0.5000
Sc 0.7500 0.2500 0.0000
Sc 0.7500 0.7500 0.0000
Sc 0.7618 0.5000 0.5000

---

Record 6
Simulated X-ray powder pattern
Compound: ErHf2Sc
Radiation: a wavelength of 1.5418 Å
Structure: a structure optimized by DFT (GGA-PBE)
No peak broadening, texture or thermal motion is included.

Largest 10 diffraction maxima, most intense first, 10° ≤ 2θ ≤ 90°:
- 34.49 deg, 2.600 Å, I 100
- 34.95 deg, 2.568 Å, I 78
- 35.56 deg, 2.525 Å, I 77
- 35.88 deg, 2.503 Å, I 74
- 34.70 deg, 2.585 Å, I 72
- 32.50 deg, 2.755 Å, I 59
- 34.35 deg, 2.610 Å, I 33
- 17.15 deg, 5.171 Å, I 31
- 36.42 deg, 2.467 Å, I 28
- 26.40 deg, 3.376 Å, I 24

Structure:
Cell lengths 3.1966, 6.1492, 10.7251 Å; angles 74.80, 88.60, 75.99 degrees
Fractional coordinates of all 8 atoms:
Er 0.0000 0.0000 0.0000
Er 0.5000 0.5000 0.0000
Hf 0.0538 0.3683 0.7134
Hf 0.3683 0.7532 0.5155
Hf 0.6317 0.2468 0.4845
Hf 0.9462 0.6317 0.2866
Sc 0.2257 0.1209 0.2554
Sc 0.7743 0.8791 0.7446